1.
Theoretical powder X-ray diffraction pattern
Compound: Zn
Radiation: Cu Kα (weighted mean of Kα1 and Kα2)
Structure: a crystal structure in the Materials Project, relaxed with GGA-PBE
Neutral-atom scattering factors, no anomalous dispersion.

Cell and atoms:
Unit cell a=2.6267 b=2.6267 c=5.2072 alpha=90.00 beta=90.00 gamma=120.00
Space group P6_3/mmc (No. 194)
One atom of each set of equivalent atoms:
Zn (0.3333, 0.6667, 0.2500) x2

Most intense lines, 2θ from 10° to 80°, by intensity:
2θ 43.41, I = 100, hkl 1 0 1
2θ 34.45, I = 43, hkl 0 0 2
2θ 67.93, I = 24, hkl 1 0 3
2θ 39.62, I = 22, hkl 1 0 0
2θ 53.49, I = 17, hkl 1 0 2
2θ 71.89, I = 14, hkl 1 1 0
2θ 72.63, I = 4, hkl 0 0 4

***

2.
Theoretical powder X-ray diffraction pattern
Compound: Er2IrRu
Radiation: Cu Kα (weighted mean of Kα1 and Kα2)
Structure: a crystal structure in the Materials Project, relaxed with GGA-PBE
Neutral-atom scattering factors, no anomalous dispersion.

Cell and atoms:
Unit cell a=6.7614 b=6.7614 c=6.7614 alpha=90.00 beta=90.00 gamma=90.00
Space group Fm-3m (No. 225)
One atom of each set of equivalent atoms:
Er (0.2500, 0.2500, 0.2500) x8
Ir (0.0000, 0.0000, 0.0000) x4
Ru (0.0000, 0.0000, 0.5000) x4

Most intense lines, 2θ from 10° to 80°, by intensity:
2θ 37.63, I = 100, hkl 2 2 0
2θ 67.91, I = 36, hkl 4 2 2
2θ 54.27, I = 17, hkl 4 0 0
2θ 22.78, I = 4, hkl 1 1 1
2θ 44.44, I = 2, hkl 3 1 1
2θ 59.60, I = 1, hkl 3 3 1
2θ 72.66, I = 1, hkl 5 1 1

***

3.
Theoretical powder X-ray diffraction pattern
Compound: TbSmCo4Ni6
Radiation: Cu Kα (weighted mean of Kα1 and Kα2)
Structure: a crystal structure in the Materials Project, relaxed with GGA-PBE
Neutral-atom scattering factors, no anomalous dispersion.

Cell and atoms:
Unit cell a=3.9855 b=4.9235 c=8.5197 alpha=90.00 beta=90.00 gamma=90.00
Space group Pmmm (No. 47)
One atom of each set of equivalent atoms:
Tb (0.0000, 0.0000, 0.0000) x1
Sm (0.0000, 0.5000, 0.5000) x1
Co (0.0000, 0.0000, 0.3332) x2
Co (0.0000, 0.5000, 0.1663) x2
Ni (0.5000, 0.0000, 0.5000) x1
Ni (0.5000, 0.2497, 0.2498) x4
Ni (0.5000, 0.5000, 0.0000) x1

Most intense lines, 2θ from 10° to 80°, by intensity:
2θ 43.21, I = 100, hkl 1 2 0
2θ 30.71, I = 54, hkl 1 0 2
2θ 42.42, I = 37, hkl 0 2 2
2θ 36.52, I = 31, hkl 0 2 0
2θ 45.52, I = 27, hkl 2 0 0
2θ 70.35, I = 22, hkl 1 3 3
2θ 63.97, I = 21, hkl 2 2 2
2θ 77.60, I = 15, hkl 0 4 0
2θ 59.71, I = 14, hkl 2 2 0
2θ 62.15, I = 14, hkl 1 1 5
2θ 48.44, I = 6, hkl 1 0 4
2θ 22.31, I = 5, hkl 1 0 0